(1)
Structure and calculated powder X-ray diffraction pattern of CaV4O8 (DFT lattice parameters and positions (GGA+U); Cu Kα).
Intensities are scaled so that the largest is 100.

```
data_CaV4O8
_chemical_formula_sum 'Ca2 V8 O16'
_cell_length_a 14.1710
_cell_length_b 3.1055
_cell_length_c 9.6640
_cell_angle_alpha 90.00
_cell_angle_beta 132.21
_cell_angle_gamma 90.00
_space_group_name_H-M_alt 'C 1 m 1'
_space_group_IT_number 8
loop_
_space_group_symop_operation_xyz
'x,y,z'
'x,-y,z'
'x+1/2,y+1/2,z'
'x+1/2,-y+1/2,z'
loop_
_atom_site_label
_atom_site_type_symbol
_atom_site_fract_x
_atom_site_fract_y
_atom_site_fract_z
Ca1 Ca 0.0000 0.0000 0.0000
V1 V 0.0378 0.0000 0.7065
V2 V 0.0423 0.5000 0.3890
V3 V 0.2382 0.0000 0.4068
V4 V 0.2447 0.5000 0.0731
O1 O 0.0342 0.5000 0.5776
O2 O 0.0482 0.5000 0.8782
O3 O 0.0969 0.5000 0.2384
O4 O 0.1729 0.0000 0.5171
O5 O 0.2248 0.0000 0.9276
O6 O 0.2316 0.0000 0.1986
O7 O 0.3475 0.5000 0.5383
O8 O 0.4175 0.5000 0.2297
```

Main lines, by angle (15° ≤ 2θ ≤ 90°):
2θ/deg  intensity  h k l
16.89  100  2 0 0
18.36  72  2 0 -2
28.88  55  2 0 -3
29.11  78  4 0 -3
34.17  88  4 0 0
34.77  75  1 1 1
34.89  64  3 1 -1
40.34  59  3 1 -3
46.16  57  3 1 1
48.43  57  3 1 -4


(2)
Structure and calculated powder X-ray diffraction pattern of LiMn3O5 (DFT lattice parameters and positions (GGA+U); Cu Kα).
Intensities are scaled so that the largest is 100.

```
data_LiMn3O5
_chemical_formula_sum 'Li4 Mn12 O20'
_cell_length_a 9.9829
_cell_length_b 13.3741
_cell_length_c 2.9422
_cell_angle_alpha 90.00
_cell_angle_beta 90.00
_cell_angle_gamma 90.00
_space_group_name_H-M_alt 'P b a m'
_space_group_IT_number 55
loop_
_space_group_symop_operation_xyz
'x,y,z'
'-x,-y,-z'
'-x,-y,z'
'x,y,-z'
'x+1/2,-y+1/2,-z'
'-x+1/2,y+1/2,z'
'-x+1/2,y+1/2,-z'
'x+1/2,-y+1/2,z'
loop_
_atom_site_label
_atom_site_type_symbol
_atom_site_fract_x
_atom_site_fract_y
_atom_site_fract_z
Li1 Li 0.2259 0.1358 0.0000
Mn1 Mn 0.0000 0.0000 0.5000
Mn2 Mn 0.0000 0.5000 0.0000
Mn3 Mn 0.0063 0.2912 0.5000
Mn4 Mn 0.2375 0.8827 0.0000
O1 O 0.0868 0.6377 0.0000
O2 O 0.1229 0.8361 0.5000
O3 O 0.1260 0.0185 0.0000
O4 O 0.1270 0.2547 0.0000
O5 O 0.1372 0.4366 0.5000
```

Main lines, by angle (15° ≤ 2θ ≤ 90°):
2θ/deg  intensity  h k l
15.95  100  1 2 0
17.77  34  2 0 0
21.83  26  1 3 0
32.22  84  2 4 0
35.41  40  2 0 1
41.52  25  3 1 1
43.22  29  3 2 1
45.93  41  3 3 1
58.32  23  1 7 1
59.69  28  5 3 1


(3)
Structure and calculated powder X-ray diffraction pattern of Ba2Ni3F10 (DFT lattice parameters and positions (GGA+U); Cu Kα).
Intensities are scaled so that the largest is 100.

```
data_Ba2Ni3F10
_chemical_formula_sum 'Ba8 Ni12 F40'
_cell_length_a 18.7685
_cell_length_b 6.0285
_cell_length_c 7.9479
_cell_angle_alpha 90.00
_cell_angle_beta 111.79
_cell_angle_gamma 90.00
_space_group_name_H-M_alt 'C 1 2/m 1'
_space_group_IT_number 12
loop_
_space_group_symop_operation_xyz
'x,y,z'
'-x,-y,-z'
'-x,y,-z'
'x,-y,z'
'x+1/2,y+1/2,z'
'-x+1/2,-y+1/2,-z'
'-x+1/2,y+1/2,-z'
'x+1/2,-y+1/2,z'
loop_
_atom_site_label
_atom_site_type_symbol
_atom_site_fract_x
_atom_site_fract_y
_atom_site_fract_z
Ba1 Ba 0.1146 0.0000 0.2209
Ba2 Ba 0.2169 0.0000 0.8133
Ni1 Ni 0.0000 0.2468 0.5000
Ni2 Ni 0.0746 0.5000 0.9594
Ni3 Ni 0.1774 0.5000 0.5169
F1 F 0.0000 0.2746 0.0000
F2 F 0.0174 0.0000 0.6818
F3 F 0.0212 0.5000 0.6840
F4 F 0.1117 0.2411 0.5267
F5 F 0.1341 0.5000 0.2432
F6 F 0.1498 0.2614 0.9757
F7 F 0.2367 0.5000 0.7805
F8 F 0.2500 0.2500 0.5000
```

Main lines, by angle (15° ≤ 2θ ≤ 90°):
2θ/deg  intensity  h k l
27.16  100  3 1 1
27.63  57  3 1 -2
28.54  53  6 0 -1
29.63  26  0 2 0
38.57  30  0 2 2
41.63  63  6 2 -1
43.68  16  7 1 -3
51.09  17  3 3 1
51.98  16  2 2 3
55.45  16  4 2 -4


(4)
Structure and calculated powder X-ray diffraction pattern of Ti3Bi6WO18 (DFT lattice parameters and positions (GGA+U); Cu Kα).
Intensities are scaled so that the largest is 100.

```
data_Ti3Bi6WO18
_chemical_formula_sum 'Ti3 Bi6 W1 O18'
_cell_length_a 5.4078
_cell_length_b 5.4538
_cell_length_c 13.0668
_cell_angle_alpha 89.59
_cell_angle_beta 78.21
_cell_angle_gamma 89.93
_space_group_name_H-M_alt 'P 1'
_space_group_IT_number 1
loop_
_space_group_symop_operation_xyz
'x,y,z'
loop_
_atom_site_label
_atom_site_type_symbol
_atom_site_fract_x
_atom_site_fract_y
_atom_site_fract_z
Ti1 Ti 0.0000 0.0000 0.0000
Ti2 Ti 0.1780 0.0037 0.6462
Ti3 Ti 0.6734 0.5088 0.6433
Bi1 Bi 0.0917 0.4490 0.8075
Bi2 Bi 0.3055 0.4613 0.4262
Bi3 Bi 0.3555 0.9696 0.2221
Bi4 Bi 0.6069 0.9615 0.8081
Bi5 Bi 0.7588 0.9588 0.4259
Bi6 Bi 0.9012 0.4645 0.2237
W1 W 0.5037 0.5104 0.9950
O1 O 0.0092 0.0450 0.8281
O2 O 0.0786 0.7271 0.3256
O3 O 0.0878 0.2288 0.3266
O4 O 0.2352 0.7389 0.9630
O5 O 0.3035 0.0165 0.5086
O6 O 0.3067 0.2456 0.9600
O7 O 0.3664 0.5125 0.1390
O8 O 0.3729 0.7406 0.6885
O9 O 0.4331 0.2439 0.6918
O10 O 0.5787 0.7274 0.3226
O11 O 0.5899 0.2290 0.3226
O12 O 0.6522 0.5454 0.8341
O13 O 0.6864 0.5133 0.5061
O14 O 0.6990 0.8153 0.0031
O15 O 0.7891 0.3186 0.0027
O16 O 0.8667 0.8229 0.6574
O17 O 0.9681 0.3258 0.6571
O18 O 0.9978 0.0216 0.1386
```

Main lines, by angle (15° ≤ 2θ ≤ 90°):
2θ/deg  intensity  h k l
23.42  22  1 1 1
29.00  100  1 1 3
29.15  97  1 -1 3
32.84  35  0 2 0
33.13  33  2 0 1
35.08  26  0 0 5
47.35  34  2 -2 1
48.97  22  2 0 -4
56.22  16  1 3 3
56.68  23  3 1 4


(5)
Structure and calculated powder X-ray diffraction pattern of Li9Mn2Co5O16 (DFT lattice parameters and positions (GGA+U); Cu Kα).
Intensities are scaled so that the largest is 100.

```
data_Li9Mn2Co5O16
_chemical_formula_sum 'Li9 Mn2 Co5 O16'
_cell_length_a 5.0825
_cell_length_b 5.7762
_cell_length_c 9.7992
_cell_angle_alpha 81.89
_cell_angle_beta 84.21
_cell_angle_gamma 89.92
_space_group_name_H-M_alt 'P -1'
_space_group_IT_number 2
loop_
_space_group_symop_operation_xyz
'x,y,z'
'-x,-y,-z'
loop_
_atom_site_label
_atom_site_type_symbol
_atom_site_fract_x
_atom_site_fract_y
_atom_site_fract_z
Li1 Li 0.0000 0.0000 0.0000
Li2 Li 0.1153 0.6926 0.2376
Li3 Li 0.1253 0.1872 0.2364
Li4 Li 0.3622 0.0615 0.7633
Li5 Li 0.3766 0.5581 0.7582
Mn1 Mn 0.2502 0.8705 0.4989
Co1 Co 0.0000 0.5000 0.0000
Co2 Co 0.2501 0.3747 0.5002
Co3 Co 0.4954 0.7567 0.0017
O1 O 0.0612 0.5976 0.6047
O2 O 0.0799 0.0985 0.6122
O3 O 0.1857 0.2983 0.8889
O4 O 0.1872 0.7574 0.8877
O5 O 0.2951 0.4657 0.1124
O6 O 0.3320 0.9598 0.1226
O7 O 0.4210 0.1527 0.3897
O8 O 0.4402 0.6454 0.3944
```

Main lines, by angle (15° ≤ 2θ ≤ 90°):
2θ/deg  intensity  h k l
18.39  100  0 0 2
35.79  14  2 0 1
36.30  13  1 2 0
36.42  12  -1 2 1
37.84  7  1 -2 1
43.20  28  2 0 3
43.90  26  1 2 -2
44.18  25  -1 2 3
47.94  8  1 2 4
63.60  14  3 2 1


(6)
Structure and calculated powder X-ray diffraction pattern of Li6NiO4 (DFT lattice parameters and positions (GGA+U); Cu Kα).
Intensities are scaled so that the largest is 100.

```
data_Li6NiO4
_chemical_formula_sum 'Li48 Ni8 O32'
_cell_length_a 13.1192
_cell_length_b 13.2781
_cell_length_c 4.6649
_cell_angle_alpha 90.00
_cell_angle_beta 90.00
_cell_angle_gamma 90.00
_space_group_name_H-M_alt 'C m m 2'
_space_group_IT_number 35
loop_
_space_group_symop_operation_xyz
'x,y,z'
'-x,-y,z'
'-x,y,z'
'x,-y,z'
'x+1/2,y+1/2,z'
'-x+1/2,-y+1/2,z'
'-x+1/2,y+1/2,z'
'x+1/2,-y+1/2,z'
loop_
_atom_site_label
_atom_site_type_symbol
_atom_site_fract_x
_atom_site_fract_y
_atom_site_fract_z
Li1 Li 0.0000 0.2477 0.0000
Li2 Li 0.0000 0.2483 0.4998
Li3 Li 0.1084 0.3899 0.0522
Li4 Li 0.1107 0.1078 0.0480
Li5 Li 0.1403 0.3587 0.5476
Li6 Li 0.1418 0.1398 0.5482
Li7 Li 0.2477 0.5000 0.1012
Li8 Li 0.2482 0.5000 0.6010
Ni1 Ni 0.0000 0.0000 0.5404
Ni2 Ni 0.0000 0.5000 0.5650
Ni3 Ni 0.2500 0.2500 0.0386
O1 O 0.0000 0.1294 0.7621
O2 O 0.0000 0.3654 0.7600
O3 O 0.1198 0.2491 0.2625
O4 O 0.1290 0.5000 0.3379
O5 O 0.1345 0.0000 0.3399
O6 O 0.2490 0.3834 0.8402
```

Main lines, by angle (15° ≤ 2θ ≤ 90°):
2θ/deg  intensity  h k l
19.02  41  2 2 0
23.35  100  2 0 1
33.12  16  0 4 1
33.40  19  4 0 1
35.92  25  2 4 1
36.11  24  4 2 1
43.37  15  2 2 2
45.36  13  0 6 1
45.83  12  6 0 1
55.73  35  4 4 2